The following is a simulated powder diffractogram of Na3Sr3GaAs4. It was derived from DFT lattice parameters and positions (GGA-PBE), using Cu Kα (λ = 1.5418 Å).

a = 9.6922 Å, b = 9.6922 Å, c = 7.6014 Å
α = 90.00°, β = 90.00°, γ = 120.00°
Positions (direct):
Na 0.1364 0.2729 0.0000
Na 0.1364 0.8636 0.0000
Na 0.2729 0.1364 0.5000
Na 0.7271 0.8636 0.0000
Na 0.8636 0.1364 0.5000
Na 0.8636 0.7271 0.5000
Sr 0.0442 0.5221 0.3291
Sr 0.4779 0.5221 0.3291
Sr 0.4779 0.9558 0.3291
Sr 0.5221 0.0442 0.8291
Sr 0.5221 0.4779 0.8291
Sr 0.9558 0.4779 0.8291
Ga 0.3333 0.6667 0.7036
Ga 0.6667 0.3333 0.2036
As 0.1889 0.3777 0.6083
As 0.1889 0.8111 0.6083
As 0.3333 0.6667 0.0481
As 0.3777 0.1889 0.1083
As 0.6223 0.8111 0.6083
As 0.6667 0.3333 0.5481
As 0.8111 0.1889 0.1083
As 0.8111 0.6223 0.1083

Principal peaks in the range 15 to 90 degrees two-theta, sorted by position:
| 2theta | d_spacing | Rel. int. | h k l |
| --- | --- | --- | --- |
| 15.7 | 5.634 | 14 | 1 0 1 |
| 24.2 | 3.674 | 30 | 2 0 1 |
| 30.5 | 2.928 | 41 | 2 1 1 |
| 31.8 | 2.817 | 100 | 2 0 2 |
| 34.1 | 2.626 | 23 | 3 0 1 |
| 36.9 | 2.436 | 15 | 2 1 2 |
| 37.1 | 2.424 | 85 | 2 2 0 |
| 41.6 | 2.169 | 20 | 2 0 3 |
| 49.6 | 1.837 | 17 | 4 0 2 |
| 56.1 | 1.639 | 11 | 5 0 1 |
| 60.4 | 1.533 | 20 | 3 2 3 |
| 71.2 | 1.324 | 11 | 5 2 1 |


The following is a simulated powder diffractogram of LiTiAsO5. It was derived from DFT lattice parameters and positions (GGA-PBE), using Cu Kα (λ = 1.5418 Å).

a = 7.6534 Å, b = 6.6628 Å, c = 7.5870 Å
α = 90.00°, β = 90.00°, γ = 90.00°
Positions (direct):
Li 0.0000 0.0000 0.0000
Li 0.0000 0.5000 0.0000
Li 0.5000 0.0000 0.5000
Li 0.5000 0.5000 0.5000
Ti 0.1661 0.2500 0.2772
Ti 0.3339 0.7500 0.7772
Ti 0.6661 0.2500 0.2228
Ti 0.8339 0.7500 0.7228
As 0.1266 0.7500 0.3725
As 0.3734 0.2500 0.8725
As 0.6266 0.7500 0.1275
As 0.8734 0.2500 0.6275
O 0.0637 0.2500 0.5083
O 0.1165 0.7500 0.8371
O 0.1258 0.5451 0.2370
O 0.1258 0.9549 0.2370
O 0.1886 0.2500 0.0029
O 0.3114 0.7500 0.5029
O 0.3742 0.0451 0.7370
O 0.3742 0.4549 0.7370
O 0.3835 0.2500 0.3371
O 0.4363 0.7500 0.0083
O 0.5637 0.2500 0.9917
O 0.6165 0.7500 0.6629
O 0.6258 0.5451 0.2630
O 0.6258 0.9549 0.2630
O 0.6886 0.2500 0.4971
O 0.8114 0.7500 0.9971
O 0.8742 0.0451 0.7630
O 0.8742 0.4549 0.7630
O 0.8835 0.2500 0.1629
O 0.9363 0.7500 0.4917

Principal peaks in the range 15 to 90 degrees two-theta, sorted by position:
| 2theta | d_spacing | Rel. int. | h k l |
| --- | --- | --- | --- |
| 16.5 | 5.388 | 30 | 1 0 1 |
| 21.2 | 4.190 | 29 | 1 1 1 |
| 26.1 | 3.417 | 100 | 2 0 1 |
| 26.2 | 3.399 | 40 | 1 0 2 |
| 26.8 | 3.331 | 71 | 0 2 0 |
| 29.5 | 3.028 | 36 | 1 1 2 |
| 31.6 | 2.834 | 23 | 1 2 1 |
| 37.8 | 2.379 | 35 | 1 2 2 |
| 38.1 | 2.364 | 19 | 0 1 3 |
| 55.8 | 1.647 | 30 | 2 1 4 |
| 62.0 | 1.497 | 18 | 2 4 1 |
| 69.7 | 1.350 | 19 | 2 3 4 |